Starting from a DFT-relaxed cell (PBE, Alexandria), the powder X-ray diffraction pattern of LiPuTlO5 was calculated for Cu Ka.
Neutral-atom scattering factors, no anomalous dispersion.

Structural model:
a b c (Å): 6.1703 6.1703 8.2078
angles (deg): 106.13 106.13 104.51
Atoms (fractional coordinates):
1 Li 0.1932 0.8068 0.7500
2 Li 0.8068 0.1932 0.2500
3 Pu 0.5000 0.5000 0.0000
4 Pu 0.5000 0.5000 0.5000
5 Tl 0.1720 0.8280 0.2500
6 Tl 0.8280 0.1720 0.7500
7 O 0.1718 0.2920 0.4036
8 O 0.2366 0.5987 0.9037
9 O 0.2920 0.1718 0.9036
10 O 0.4013 0.7634 0.5963
11 O 0.4357 0.5643 0.2500
12 O 0.5643 0.4357 0.7500
13 O 0.5987 0.2366 0.4037
14 O 0.7080 0.8282 0.0964
15 O 0.7634 0.4013 0.0963
16 O 0.8282 0.7080 0.5964

Peak list (10 most intense, 5 to 70 degrees two-theta, in order of rising 2θ)
16.03°, I 86.9
23.62°, I 83.5
26.48°, I 48.6
30.53°, I 100.0
32.44°, I 27.3
34.04°, I 21.0
37.41°, I 28.5
49.34°, I 19.0
51.92°, I 22.6
53.59°, I 18.2

=====

Starting from a DFT-relaxed cell (PBE, Alexandria), the powder X-ray diffraction pattern of LiPu3Tl4O12 was calculated for Cu Ka.
Neutral-atom scattering factors, no anomalous dispersion.

Structural model:
a b c (Å): 7.4896 7.4896 7.4896
angles (deg): 109.47 109.47 109.47
Atoms (fractional coordinates):
1 Li 0.0000 0.0000 0.0000
2 Pu 0.0000 0.5000 0.5000
3 Pu 0.5000 0.0000 0.5000
4 Pu 0.5000 0.5000 0.0000
5 Tl 0.0000 0.0000 0.5000
6 Tl 0.0000 0.5000 0.0000
7 Tl 0.5000 0.0000 0.0000
8 Tl 0.5000 0.5000 0.5000
9 O 0.0000 0.2810 0.2810
10 O 0.0000 0.7190 0.7190
11 O 0.2500 0.5000 0.7500
12 O 0.2500 0.7500 0.5000
13 O 0.2810 0.0000 0.2810
14 O 0.2810 0.2810 0.0000
15 O 0.5000 0.2500 0.7500
16 O 0.5000 0.7500 0.2500
17 O 0.7190 0.0000 0.7190
18 O 0.7190 0.7190 0.0000
19 O 0.7500 0.2500 0.5000
20 O 0.7500 0.5000 0.2500

Peak list (10 most intense, 5 to 70 degrees two-theta, in order of rising 2θ)
14.48°, I 14.5
25.22°, I 8.0
29.21°, I 100.0
32.75°, I 3.4
38.97°, I 4.2
41.78°, I 26.5
51.79°, I 42.5
54.07°, I 3.1
60.57°, I 17.4
68.64°, I 19.3

=====

Starting from a DFT-relaxed cell (PBE, Alexandria), the powder X-ray diffraction pattern of Li2PuTl2O6 was calculated for Cu Ka.
Neutral-atom scattering factors, no anomalous dispersion.

Structural model:
a b c (Å): 6.6764 6.6764 6.6764
angles (deg): 53.50 53.50 53.50
Atoms (fractional coordinates):
1 Li 0.0990 0.0990 0.0990
2 Li 0.9010 0.9010 0.9010
3 Pu 0.5000 0.5000 0.5000
4 Tl 0.2880 0.2880 0.2880
5 Tl 0.7120 0.7120 0.7120
6 O 0.2653 0.7219 0.7219
7 O 0.2781 0.2781 0.7347
8 O 0.2781 0.7347 0.2781
9 O 0.7219 0.2653 0.7219
10 O 0.7219 0.7219 0.2653
11 O 0.7347 0.2781 0.2781

Peak list (10 most intense, 5 to 70 degrees two-theta, in order of rising 2θ)
17.81°, I 100.0
26.98°, I 60.7
29.73°, I 97.6
31.28°, I 88.2
40.58°, I 34.0
43.71°, I 38.4
51.10°, I 21.6
52.76°, I 20.5
53.75°, I 42.8
57.35°, I 28.5